Theoretical PXRD pattern
Compound: Rb2AgI3
Radiation: Cu Kα, 1.54184 Å
Structure: a structure optimized by DFT (PBE)

Top 10 peaks for 5 to 70 degrees two-theta, most intense first:
(hkl)  d (Å)  2θ/deg  I/Imax
2 1 2  3.403  26.2  100
2 1 1  3.556  25.0  99
0 2 0  2.485  36.2  72
1 1 4  3.367  26.5  63
1 1 5  3.015  29.6  58
2 0 9  2.078  43.6  45
1 0 5  3.793  23.5  44
1 0 6  3.221  27.7  42
1 0 2  7.309  12.1  42
3 1 6  2.188  41.3  42

Atomic structure:
```
Rb2AgI3
1.0
10.5153 0.0000 0.0000
0.0000 4.9695 0.0000
0.0000 0.0000 20.3341
Rb Ag I
8 4 12
Direct
0.0797 0.2500 0.2124
0.2444 0.7500 0.4581
0.2556 0.2500 0.9581
0.4203 0.7500 0.7124
0.5797 0.2500 0.2876
0.7444 0.7500 0.0419
0.7556 0.2500 0.5419
0.9203 0.7500 0.7876
0.1374 0.2500 0.6362
0.3626 0.7500 0.1362
0.6374 0.2500 0.8638
0.8626 0.7500 0.3638
0.0054 0.7500 0.6024
0.1220 0.7500 0.0705
0.1852 0.2500 0.7758
0.3148 0.7500 0.2758
0.3780 0.2500 0.5705
0.4946 0.2500 0.1024
0.5054 0.7500 0.8976
0.6220 0.7500 0.4295
0.6852 0.2500 0.7242
0.8148 0.7500 0.2242
0.8780 0.2500 0.9295
0.9946 0.2500 0.3976
```